Entry 1:
# V6O11
Calculated powder X-ray diffraction pattern, Cu Kα. Input: a structure optimized by DFT (GGA+U).

Atomic structure:
a b c (Å): 5.5603 7.1422 9.7589
angles (deg): 89.26 80.14 72.21
Space group P-1 (No. 2)
Inequivalent atoms, fractional coordinates:
V 0.1747 0.3076 0.0692
V 0.1820 0.8020 0.0643
V 0.2310 0.8598 0.4139
V 0.2409 0.3585 0.4250
V 0.3056 0.4285 0.7649
V 0.3115 0.9205 0.7558
O 0.0168 0.0916 0.1061
O 0.0729 0.4201 0.2404
O 0.0954 0.6395 0.4748
O 0.1279 0.9838 0.6144
O 0.1821 0.2041 0.8605
O 0.2095 0.5481 0.9657
O 0.3292 0.7453 0.2102
O 0.3624 0.0828 0.3480
O 0.4074 0.3009 0.5734
O 0.4414 0.6419 0.7023
O 0.4734 0.8283 0.9283

Peak list (12 most intense, 2θ from 10° to 80°, by angle)
2θ = 22.87°, rel. 46; 2θ = 26.54°, rel. 85; 2θ = 28.78°, rel. 76; 2θ = 30.08°, rel. 100; 2θ = 34.41°, rel. 47; 2θ = 35.38°, rel. 48; 2θ = 35.72°, rel. 44; 2θ = 53.67°, rel. 36; 2θ = 54.40°, rel. 45; 2θ = 54.56°, rel. 35; 2θ = 56.29°, rel. 34; 2θ = 62.35°, rel. 33


Entry 2:
# MgCo6O9F3
Calculated powder X-ray diffraction pattern, Cu Kα. Input: a structure optimized by DFT (GGA+U).

Atomic structure:
a b c (Å): 5.5876 5.7700 6.8263
angles (deg): 74.02 74.26 83.19
Space group P1 (No. 1)
Inequivalent atoms, fractional coordinates:
Mg 0.0000 0.0000 0.0000
Co 0.0196 0.5073 0.5045
Co 0.0241 0.4892 0.0095
Co 0.3766 0.8270 0.1752
Co 0.4237 0.7830 0.6630
Co 0.5966 0.2458 0.8308
Co 0.6018 0.2464 0.3437
O 0.1419 0.5950 0.7076
O 0.2649 0.7270 0.9656
O 0.2995 0.1660 0.0165
O 0.3616 0.4933 0.3426
O 0.4554 0.9495 0.3752
O 0.5551 0.0921 0.6314
O 0.6824 0.5489 0.6587
O 0.7560 0.2792 0.0496
O 0.9009 0.3984 0.3068
F 0.0011 0.1587 0.7040
F 0.7432 0.7941 0.0078
F 0.9962 0.8551 0.3085

Peak list (12 most intense, 2θ from 10° to 80°, by angle)
2θ = 23.61°, rel. 95; 2θ = 28.92°, rel. 100; 2θ = 33.36°, rel. 19; 2θ = 35.76°, rel. 35; 2θ = 35.98°, rel. 26; 2θ = 36.27°, rel. 28; 2θ = 36.48°, rel. 19; 2θ = 37.21°, rel. 27; 2θ = 42.68°, rel. 16; 2θ = 56.12°, rel. 18; 2θ = 59.92°, rel. 17; 2θ = 63.93°, rel. 18


Entry 3:
# Ca2CoSbO6
Calculated powder X-ray diffraction pattern, Cu Kα. Input: a structure optimized by DFT (GGA+U).

Atomic structure:
a b c (Å): 5.5058 7.6871 5.6653
angles (deg): 90.00 90.08 90.00
Space group P2_1/m (No. 11)
Inequivalent atoms, fractional coordinates:
Ca 0.0023 0.2500 0.0438
Ca 0.4810 0.2500 0.5664
Co 0.5000 0.0000 0.0000
Sb 0.0000 0.0000 0.5000
O 0.1077 0.7500 0.5364
O 0.1900 0.0494 0.7937
O 0.2942 0.0472 0.3065
O 0.4242 0.7500 0.0242

Peak list (12 most intense, 2θ from 10° to 80°, by angle)
2θ = 15.64°, rel. 8; 2θ = 22.52°, rel. 30; 2θ = 23.14°, rel. 13; 2θ = 31.59°, rel. 21; 2θ = 32.51°, rel. 100; 2θ = 45.97°, rel. 25; 2θ = 47.30°, rel. 13; 2θ = 52.08°, rel. 8; 2θ = 56.84°, rel. 14; 2θ = 58.01°, rel. 29; 2θ = 58.58°, rel. 9; 2θ = 68.10°, rel. 14


Entry 4:
# Li4CoNi5O12
Calculated powder X-ray diffraction pattern, Cu Kα. Input: a structure optimized by DFT (GGA+U).

Atomic structure:
a b c (Å): 5.0439 8.4693 9.9976
angles (deg): 90.00 92.28 90.00
Space group C2 (No. 5)
Inequivalent atoms, fractional coordinates:
Li 0.1019 0.0000 0.2529
Li 0.1041 0.4732 0.2516
Co 0.0000 0.2386 0.5000
Ni 0.0000 0.0689 0.0000
Ni 0.0000 0.3991 0.0000
Ni 0.0000 0.5732 0.5000
Ni 0.0000 0.7374 0.0000
Ni 0.0000 0.9040 0.5000
O 0.1429 0.9151 0.8909
O 0.1464 0.4070 0.6063
O 0.1474 0.0704 0.6055
O 0.1636 0.2336 0.9043
O 0.1704 0.5606 0.8984
O 0.1811 0.7385 0.5944

Peak list (12 most intense, 2θ from 10° to 80°, by angle)
2θ = 17.76°, rel. 100; 2θ = 35.63°, rel. 9; 2θ = 37.44°, rel. 15; 2θ = 37.79°, rel. 14; 2θ = 39.40°, rel. 9; 2θ = 40.74°, rel. 8; 2θ = 45.37°, rel. 16; 2θ = 46.27°, rel. 16; 2θ = 58.96°, rel. 9; 2θ = 60.20°, rel. 8; 2θ = 64.95°, rel. 8; 2θ = 65.66°, rel. 7


Entry 5:
# Li9Mn2Co5O16
Calculated powder X-ray diffraction pattern, Cu Kα. Input: a structure optimized by DFT (GGA+U).

Atomic structure:
a b c (Å): 5.8612 5.9038 8.6339
angles (deg): 88.58 70.66 87.30
Space group P-1 (No. 2)
Inequivalent atoms, fractional coordinates:
Li 0.0000 0.0000 0.0000
Li 0.0000 0.5000 0.0000
Li 0.1310 0.2409 0.2335
Li 0.2545 0.0019 0.4938
Li 0.3599 0.7586 0.7670
Li 0.5000 0.5000 0.0000
Mn 0.2499 0.5016 0.5026
Co 0.1270 0.7555 0.2448
Co 0.3618 0.2418 0.7588
Co 0.5000 0.0000 0.0000
O 0.0069 0.2799 0.5057
O 0.1156 0.0211 0.7403
O 0.1458 0.4968 0.7400
O 0.2638 0.7730 0.0173
O 0.2679 0.2433 0.9866
O 0.3561 0.5190 0.2677
O 0.4045 0.9948 0.2393
O 0.4965 0.7221 0.4923

Peak list (12 most intense, 2θ from 10° to 80°, by angle)
2θ = 18.49°, rel. 100; 2θ = 35.30°, rel. 16; 2θ = 36.56°, rel. 12; 2θ = 36.75°, rel. 12; 2θ = 42.48°, rel. 29; 2θ = 44.49°, rel. 25; 2θ = 44.64°, rel. 25; 2θ = 63.06°, rel. 7; 2θ = 63.19°, rel. 14; 2θ = 63.57°, rel. 7; 2θ = 64.37°, rel. 7; 2θ = 65.32°, rel. 7


Entry 6:
# Li3MnCr4O8
Calculated powder X-ray diffraction pattern, Cu Kα. Input: a structure optimized by DFT (GGA+U).

Atomic structure:
a b c (Å): 10.6397 5.9530 5.9221
angles (deg): 90.00 123.50 90.00
Space group C2/m (No. 12)
Inequivalent atoms, fractional coordinates:
Li 0.0000 0.0000 0.0000
Li 0.2500 0.2500 0.0000
Mn 0.0000 0.5000 0.5000
Cr 0.0000 0.0000 0.5000
Cr 0.0000 0.5000 0.0000
Cr 0.2500 0.2500 0.5000
O 0.0164 0.2422 0.2642
O 0.2320 0.0000 0.7200
O 0.2469 0.5000 0.7308

Peak list (12 most intense, 2θ from 10° to 80°, by angle)
2θ = 17.96°, rel. 97; 2θ = 18.06°, rel. 10; 2θ = 35.25°, rel. 31; 2θ = 36.36°, rel. 37; 2θ = 36.58°, rel. 12; 2θ = 40.67°, rel. 58; 2θ = 43.09°, rel. 100; 2θ = 60.61°, rel. 29; 2θ = 60.88°, rel. 29; 2θ = 62.40°, rel. 14; 2θ = 62.76°, rel. 14; 2θ = 77.22°, rel. 19